1.
This entry pairs a crystal structure of Th4Te3As with its computed powder XRD pattern. Radiation: Cu Kα (λ = 1.5418 Å). Structure: a GGA-PBE-relaxed structure.
Intensities are scaled so that the largest is 100.

Atomic structure:
```
Th4Te3As
1.0
7.6514 0.0000 0.0000
0.0000 9.0599 0.0000
-2.6589 0.0000 7.0405
Th Te As
8 6 2
Direct
0.2309 0.1153 0.0042
0.2309 0.3610 0.4811
0.2309 0.6390 0.9811
0.2309 0.8847 0.5042
0.7691 0.1153 0.4958
0.7691 0.3610 0.0189
0.7691 0.6390 0.5189
0.7691 0.8847 0.9958
0.0000 0.3722 0.7500
0.0000 0.6278 0.2500
0.5000 0.1283 0.7500
0.5000 0.3813 0.2500
0.5000 0.6187 0.7500
0.5000 0.8717 0.2500
0.0000 0.1177 0.2500
0.0000 0.8823 0.7500
```

Top 12 peaks for 2θ = 10–80°, by angle:
hkl 1 2 -1, d = 3.666 Å, 2θ = 24.3°, intensity 10; hkl 2 0 -2, d = 3.123 Å, 2θ = 28.6°, intensity 100; hkl 0 4 0, d = 2.265 Å, 2θ = 39.8°, intensity 13; hkl 3 2 -1, d = 2.222 Å, 2θ = 40.6°, intensity 25; hkl 1 2 -3, d = 2.194 Å, 2θ = 41.1°, intensity 25; hkl 2 0 2, d = 2.157 Å, 2θ = 41.9°, intensity 11; hkl 2 4 -2, d = 1.833 Å, 2θ = 49.7°, intensity 14; hkl 4 0 0, d = 1.789 Å, 2θ = 51.0°, intensity 6; hkl 0 0 4, d = 1.760 Å, 2θ = 52.0°, intensity 7; hkl 4 0 -4, d = 1.562 Å, 2θ = 59.2°, intensity 12; hkl 5 2 -3, d = 1.404 Å, 2θ = 66.6°, intensity 11; hkl 3 2 -5, d = 1.389 Å, 2θ = 67.4°, intensity 6

2.
This entry pairs a crystal structure of AlCuO3 with its computed powder XRD pattern. Radiation: Cu Kα (λ = 1.5418 Å). Structure: a GGA-PBE-relaxed structure.
Intensities are scaled so that the largest is 100.

Atomic structure:
```
AlCuO3
1.0
5.6309 0.0000 0.0000
-2.8155 4.8765 0.0000
0.0000 0.0000 10.5273
Al Cu O
6 6 18
Direct
0.0000 0.0000 0.0000
0.0000 0.0000 0.5000
0.3333 0.6667 0.4778
0.3333 0.6667 0.9778
0.6667 0.3333 0.4778
0.6667 0.3333 0.9778
0.0000 0.3309 0.2398
0.0000 0.6691 0.7398
0.3309 0.0000 0.2398
0.3309 0.3309 0.7398
0.6691 0.0000 0.7398
0.6691 0.6691 0.2398
0.0000 0.0000 0.1798
0.0000 0.0000 0.6798
0.0000 0.2902 0.4155
0.0000 0.4006 0.0670
0.0000 0.5994 0.5670
0.0000 0.7098 0.9155
0.2902 0.0000 0.4155
0.2902 0.2902 0.9155
0.3333 0.6667 0.2815
0.3333 0.6667 0.7815
0.4006 0.0000 0.0670
0.4006 0.4006 0.5670
0.5994 0.0000 0.5670
0.5994 0.5994 0.0670
0.6667 0.3333 0.2815
0.6667 0.3333 0.7815
0.7098 0.0000 0.9155
0.7098 0.7098 0.4155
```

Top 12 peaks for 2θ = 10–80°, by angle:
hkl 0 0 2, d = 5.264 Å, 2θ = 16.8°, intensity 20; hkl 1 1 1, d = 2.720 Å, 2θ = 32.9°, intensity 100; hkl 0 0 4, d = 2.632 Å, 2θ = 34.1°, intensity 24; hkl 1 1 2, d = 2.483 Å, 2θ = 36.2°, intensity 23; hkl 1 1 3, d = 2.196 Å, 2θ = 41.1°, intensity 14; hkl 1 1 5, d = 1.686 Å, 2θ = 54.4°, intensity 24; hkl 3 0 0, d = 1.626 Å, 2θ = 56.6°, intensity 32; hkl 3 0 2, d = 1.553 Å, 2θ = 59.5°, intensity 6; hkl 1 1 6, d = 1.489 Å, 2θ = 62.4°, intensity 16; hkl 2 2 1, d = 1.395 Å, 2θ = 67.1°, intensity 10; hkl 3 0 4, d = 1.383 Å, 2θ = 67.8°, intensity 19; hkl 1 1 7, d = 1.327 Å, 2θ = 71.1°, intensity 7

3.
This entry pairs a crystal structure of Dy4Er3Tm with its computed powder XRD pattern. Radiation: Cu Kα (λ = 1.5418 Å). Structure: a GGA-PBE-relaxed structure.
Intensities are scaled so that the largest is 100.

Atomic structure:
```
Dy4Er3Tm
1.0
11.1243 0.0000 0.0000
0.0000 7.1979 0.0000
0.0000 0.0000 6.2232
Dy Er Tm
8 6 2
Direct
0.0000 0.1261 0.0000
0.0000 0.8741 0.4994
0.2502 0.1262 0.3333
0.2498 0.8738 0.8333
0.5000 0.1259 0.9994
0.5000 0.8739 0.5000
0.7498 0.1262 0.3333
0.7502 0.8738 0.8333
0.0000 0.3761 0.4998
0.2499 0.3761 0.8327
0.2501 0.6239 0.3327
0.5000 0.6239 0.9998
0.7501 0.3761 0.8327
0.7499 0.6239 0.3327
0.0000 0.6239 0.9999
0.5000 0.3761 0.4999
```

Top 12 peaks for 2θ = 10–80°, by angle:
hkl 0 2 1, d = 3.114 Å, 2θ = 28.7°, intensity 24; hkl 4 0 0, d = 2.781 Å, 2θ = 32.2°, intensity 24; hkl 2 2 1, d = 2.717 Å, 2θ = 33.0°, intensity 100; hkl 4 2 1, d = 2.074 Å, 2θ = 43.6°, intensity 15; hkl 0 4 0, d = 1.798 Å, 2θ = 50.8°, intensity 20; hkl 6 2 1, d = 1.593 Å, 2θ = 57.9°, intensity 20; hkl 0 0 4, d = 1.557 Å, 2θ = 59.4°, intensity 3; hkl 4 4 0, d = 1.510 Å, 2θ = 61.4°, intensity 23; hkl 2 4 2, d = 1.499 Å, 2θ = 61.9°, intensity 16; hkl 8 0 0, d = 1.391 Å, 2θ = 67.3°, intensity 3; hkl 4 4 2, d = 1.359 Å, 2θ = 69.1°, intensity 3; hkl 8 2 1, d = 1.270 Å, 2θ = 74.8°, intensity 3